Entry 1:
# MgB2C2
Simulated X-ray diffraction stick pattern, a wavelength of 1.5418 Å. Input: a DFT-relaxed cell (PBE, the Materials Project).

Peak list (10 most intense, 15 to 90 degrees two-theta, by angle)
| (hkl) | d_spacing | two_theta | I_rel |
| --- | --- | --- | --- |
| 1 1 1 | 5.164 | 17.17 | 30.3 |
| 0 0 2 | 3.731 | 23.85 | 17.5 |
| 2 2 0 | 3.577 | 24.89 | 32.8 |
| 3 1 1 | 3.093 | 28.86 | 32.6 |
| 1 3 1 | 2.809 | 31.86 | 21.5 |
| 2 2 2 | 2.582 | 34.74 | 25.9 |
| 4 2 2 | 1.998 | 45.39 | 100.0 |
| 0 0 4 | 1.865 | 48.82 | 27.3 |
| 3 5 1 | 1.638 | 56.15 | 20.3 |
| 8 0 0 | 1.366 | 68.71 | 20.2 |

```
data_MgB2C2
_chemical_formula_sum 'Mg16 B32 C32'
_space_group_name_H-M_alt 'C m c e'
_space_group_IT_number 64
_space_group_name_Hall '-C 2ac 2'
_cell_length_a 10.926
_cell_length_b 9.467
_cell_length_c 7.462
_cell_angle_alpha 90.00
_cell_angle_beta 90.00
_cell_angle_gamma 90.00
loop_
_atom_site_label
_atom_site_type_symbol
_atom_site_fract_x
_atom_site_fract_y
_atom_site_fract_z
Mg1 Mg 0.000 0.221 0.010
Mg2 Mg 0.152 0.000 0.500
B1 B 0.000 0.088 0.275
B2 B 0.128 0.159 0.755
B3 B 0.250 0.094 0.250
C1 C 0.000 0.080 0.731
C2 C 0.125 0.174 0.275
C3 C 0.250 0.074 0.750
```

Entry 2:
# Mg6BC
Simulated X-ray diffraction stick pattern, a wavelength of 1.5418 Å. Input: a DFT-relaxed cell (PBE, the Materials Project).

Peak list (10 most intense, 15 to 90 degrees two-theta, by angle)
| (hkl) | d_spacing | two_theta | I_rel |
| --- | --- | --- | --- |
| 0 0 2 | 4.936 | 17.97 | 26.4 |
| 0 2 2 | 3.108 | 28.72 | 11.1 |
| 1 0 2 | 3.028 | 29.50 | 11.5 |
| 0 0 4 | 2.468 | 36.41 | 20.6 |
| 1 2 2 | 2.415 | 37.24 | 100.0 |
| 0 4 0 | 2.001 | 45.33 | 16.4 |
| 2 0 0 | 1.917 | 47.42 | 15.3 |
| 2 0 4 | 1.514 | 61.23 | 10.2 |
| 1 2 6 | 1.415 | 66.04 | 18.2 |
| 2 4 0 | 1.384 | 67.69 | 9.1 |

```
data_Mg6BC
_chemical_formula_sum 'Mg12 B2 C2'
_space_group_name_H-M_alt 'A m m 2'
_space_group_IT_number 38
_space_group_name_Hall 'A 2 -2'
_cell_length_a 3.835
_cell_length_b 8.002
_cell_length_c 9.872
_cell_angle_alpha 90.00
_cell_angle_beta 90.00
_cell_angle_gamma 90.00
loop_
_atom_site_label
_atom_site_type_symbol
_atom_site_fract_x
_atom_site_fract_y
_atom_site_fract_z
Mg1 Mg 0.000 0.000 0.000
Mg2 Mg 0.000 0.000 0.483
Mg3 Mg 0.000 0.234 0.730
Mg4 Mg 0.500 0.246 0.996
B1 B 0.500 0.000 0.639
C1 C 0.500 0.000 0.099
```

Entry 3:
# MgB2C2
Simulated X-ray diffraction stick pattern, a wavelength of 1.5418 Å. Input: a DFT-relaxed cell (PBE, the Materials Project).

Peak list (10 most intense, 15 to 90 degrees two-theta, by angle)
| (hkl) | d_spacing | two_theta | I_rel |
| --- | --- | --- | --- |
| 1 1 0 | 3.902 | 22.79 | 100.0 |
| 0 2 0 | 3.627 | 24.55 | 13.6 |
| 0 1 1 | 2.592 | 34.61 | 29.9 |
| 1 3 0 | 2.143 | 42.17 | 22.9 |
| 1 2 1 | 1.990 | 45.59 | 75.5 |
| 2 2 0 | 1.951 | 46.55 | 35.2 |
| 0 3 1 | 1.823 | 50.03 | 16.2 |
| 0 4 0 | 1.813 | 50.32 | 22.7 |
| 2 1 1 | 1.726 | 53.05 | 24.8 |
| 3 0 1 | 1.348 | 69.74 | 11.5 |

```
data_MgB2C2
_chemical_formula_sum 'Mg2 B4 C4'
_space_group_name_H-M_alt 'P n n m'
_space_group_IT_number 58
_space_group_name_Hall '-P 2 2n'
_cell_length_a 4.628
_cell_length_b 7.253
_cell_length_c 2.775
_cell_angle_alpha 90.00
_cell_angle_beta 90.00
_cell_angle_gamma 90.00
loop_
_atom_site_label
_atom_site_type_symbol
_atom_site_fract_x
_atom_site_fract_y
_atom_site_fract_z
Mg1 Mg 0.000 0.000 0.000
B1 B 0.115 0.270 0.500
C1 C 0.216 0.780 0.500
```

What did the first record say?
# MgB2C2
Simulated X-ray diffraction stick pattern, a wavelength of 1.5418 Å. Input: a DFT-relaxed cell (PBE, the Materials Project).

Peak list (10 most intense, 15 to 90 degrees two-theta, by angle)
| (hkl) | d_spacing | two_theta | I_rel |
| --- | --- | --- | --- |
| 1 1 1 | 5.164 | 17.17 | 30.3 |
| 0 0 2 | 3.731 | 23.85 | 17.5 |
| 2 2 0 | 3.577 | 24.89 | 32.8 |
| 3 1 1 | 3.093 | 28.86 | 32.6 |
| 1 3 1 | 2.809 | 31.86 | 21.5 |
| 2 2 2 | 2.582 | 34.74 | 25.9 |
| 4 2 2 | 1.998 | 45.39 | 100.0 |
| 0 0 4 | 1.865 | 48.82 | 27.3 |
| 3 5 1 | 1.638 | 56.15 | 20.3 |
| 8 0 0 | 1.366 | 68.71 | 20.2 |

```
data_MgB2C2
_chemical_formula_sum 'Mg16 B32 C32'
_space_group_name_H-M_alt 'C m c e'
_space_group_IT_number 64
_space_group_name_Hall '-C 2ac 2'
_cell_length_a 10.926
_cell_length_b 9.467
_cell_length_c 7.462
_cell_angle_alpha 90.00
_cell_angle_beta 90.00
_cell_angle_gamma 90.00
loop_
_atom_site_label
_atom_site_type_symbol
_atom_site_fract_x
_atom_site_fract_y
_atom_site_fract_z
Mg1 Mg 0.000 0.221 0.010
Mg2 Mg 0.152 0.000 0.500
B1 B 0.000 0.088 0.275
B2 B 0.128 0.159 0.755
B3 B 0.250 0.094 0.250
C1 C 0.000 0.080 0.731
C2 C 0.125 0.174 0.275
C3 C 0.250 0.074 0.750
```